Computed X-ray diffraction stick pattern of BaP3 for Cu Kα (weighted mean of Kα1 and Kα2), from a structure optimized by DFT (GGA-PBE).
Kinematic intensities with the Lorentz-polarization factor, no thermal factor.

Atomic structure:
Cell lengths 7.064, 7.064, 4.800 Å; angles 108.67, 108.67, 66.53 degrees
Fractional coordinates of all 8 atoms:
Ba  0.174  0.174  0.316
Ba  0.826  0.826  0.684
P  0.185  0.649  0.291
P  0.351  0.815  0.709
P  0.408  0.408  0.021
P  0.592  0.592  0.979
P  0.649  0.185  0.291
P  0.815  0.351  0.709

Largest 8 diffraction maxima, sorted by position, 5° ≤ 2θ ≤ 70°:
21.8°, I = 16; 23.0°, I = 18; 27.0°, I = 100; 28.2°, I = 19; 30.9°, I = 65; 31.2°, I = 22; 40.0°, I = 17; 42.9°, I = 27



Computed X-ray diffraction stick pattern of YAlNi for Cu Kα (weighted mean of Kα1 and Kα2), from a structure optimized by DFT (GGA-PBE).
Kinematic intensities with the Lorentz-polarization factor, no thermal factor.

Atomic structure:
Cell lengths 8.552, 5.370, 5.370 Å; angles 60.64, 90.00, 90.00 degrees
Fractional coordinates of all 12 atoms:
Y  0.177  0.000  0.000
Y  0.294  0.663  0.663
Y  0.706  0.663  0.663
Y  0.823  0.000  0.000
Al  0.238  0.327  0.327
Al  0.500  0.163  0.671
Al  0.500  0.671  0.163
Al  0.762  0.327  0.327
Ni  0.000  0.496  0.496
Ni  0.000  0.499  0.994
Ni  0.000  0.994  0.499
Ni  0.500  0.163  0.163

Largest 8 diffraction maxima, sorted by position, 5° ≤ 2θ ≤ 70°:
10.3°, I = 38; 33.4°, I = 33; 36.9°, I = 91; 37.0°, I = 31; 39.4°, I = 35; 39.6°, I = 100; 39.9°, I = 73; 40.3°, I = 36



Computed X-ray diffraction stick pattern of SrIn for Cu Kα (weighted mean of Kα1 and Kα2), from a structure optimized by DFT (GGA-PBE).
Kinematic intensities with the Lorentz-polarization factor, no thermal factor.

Atomic structure:
Cell lengths 13.857, 13.857, 6.670 Å; angles 101.28, 101.28, 144.24 degrees
Fractional coordinates of all 16 atoms:
Sr  0.048  0.952  0.500
Sr  0.099  0.505  0.595
Sr  0.481  0.590  0.098
Sr  0.505  0.099  0.095
Sr  0.545  0.935  0.500
Sr  0.590  0.481  0.598
Sr  0.935  0.545  0.000
Sr  0.952  0.048  0.000
In  0.061  0.383  0.041
In  0.155  0.972  0.046
In  0.383  0.061  0.541
In  0.388  0.563  0.557
In  0.563  0.388  0.057
In  0.654  0.976  0.046
In  0.972  0.155  0.546
In  0.976  0.654  0.546

Largest 8 diffraction maxima, sorted by position, 5° ≤ 2θ ≤ 70°:
13.4°, I = 27; 27.0°, I = 22; 28.1°, I = 100; 29.2°, I = 40; 32.3°, I = 73; 32.9°, I = 22; 34.1°, I = 76; 34.9°, I = 42